Ba2NaTcH6: calculated powder diffractogram (Cu Kα (λ = 1.5418 Å)), based on a cell relaxed with GGA-PBE.

Structure:
```
Ba2NaTcH6
1.0
5.665 0.000 0.000
-2.833 4.906 0.000
0.000 0.000 5.678
Ba Na Tc H
2 1 1 6
Cartesian
0.000 3.271 1.739
2.833 1.635 3.939
0.000 0.000 0.000
0.000 0.000 2.839
0.000 1.501 3.876
-1.533 4.156 3.876
1.300 0.751 1.802
1.533 4.156 3.876
4.365 0.751 1.802
2.833 3.405 1.802
```

Principal peaks in the range 2θ = 10–90°, most intense first:
hkl  2theta  intensity
1 0 1  24.0  100
1 1 0  31.6  82
1 0 2  36.6  52
0 1 3  51.8  37
0 0 1  15.6  30
0 2 1  40.0  28
2 1 2  59.5  25
0 2 2  49.1  23
1 1 1  35.4  22
1 2 3  71.2  20

Ba2NaVH6: calculated powder diffractogram (Cu Kα (λ = 1.5418 Å)), based on a cell relaxed with GGA-PBE.

Structure:
```
Ba2NaVH6
1.0
5.636 0.000 0.000
-2.818 4.881 0.000
0.000 0.000 6.160
Ba Na V H
2 1 1 6
Cartesian
0.000 3.254 1.951
2.818 1.627 4.208
0.000 0.000 0.000
0.000 0.000 3.080
0.000 1.533 4.117
-1.491 4.115 4.117
1.327 0.766 2.042
1.491 4.115 4.117
4.309 0.766 2.042
2.818 3.349 2.042
```

Principal peaks in the range 2θ = 10–90°, most intense first:
hkl  2theta  intensity
0 1 1  23.3  100
1 1 0  31.8  59
1 0 2  34.4  46
2 0 1  39.7  27
0 0 1  14.4  24
1 2 1  51.7  23
2 1 2  58.3  20
0 2 2  47.5  19
1 1 1  35.0  14
3 0 0  56.6  11